Computed powder X-ray diffraction pattern
Compound: LaPuI5
Radiation: Cu Ka
Structure: a structure optimized by DFT (GGA-PBE)

Top 8 peaks for 10° ≤ 2θ ≤ 90°, most intense first:
- 10.72°, intensity 1000, hkl 1 0 -1
- 29.68°, intensity 621, hkl 0 0 5
- 28.18°, intensity 557, hkl 1 1 -3
- 25.70°, intensity 468, hkl 1 1 2
- 27.87°, intensity 362, hkl 2 1 0
- 41.18°, intensity 268, hkl 0 2 0
- 37.83°, intensity 220, hkl 2 1 4
- 27.02°, intensity 170, hkl 2 0 3

Cell and atoms:
abc: 9.3976 4.3853 15.1179
angles: 90.00 94.48 90.00
Space group P2_1/m (No. 11)
Unique sites:
La  0.0830  0.2500  0.1571 [2 per cell]
Pu  0.4077  0.7500  0.3599 [2 per cell]
I  0.1375  0.2500  0.7862 [2 per cell]
I  0.1540  0.2500  0.3722 [2 per cell]
I  0.1840  0.7500  0.0155 [2 per cell]
I  0.3570  0.7500  0.5707 [2 per cell]
I  0.4290  0.2500  0.1971 [2 per cell]



Computed powder X-ray diffraction pattern
Compound: RbLa2I6
Radiation: Cu Ka
Structure: a structure optimized by DFT (GGA-PBE)

Top 8 peaks for 10° ≤ 2θ ≤ 90°, most intense first:
- 27.79°, intensity 1000, hkl 1 3 1
- 31.74°, intensity 923, hkl 4 2 -2
- 25.93°, intensity 581, hkl 5 1 -1
- 32.54°, intensity 567, hkl 2 2 2
- 28.22°, intensity 512, hkl 2 0 2
- 33.72°, intensity 506, hkl 6 2 0
- 29.24°, intensity 498, hkl 3 3 -1
- 31.01°, intensity 477, hkl 5 1 1

Cell and atoms:
abc: 18.6662 11.1761 7.5891
angles: 90.00 103.76 90.00
Space group C2/c (No. 15)
Unique sites:
Rb  0.0000  0.2475  0.2500 [4 per cell]
La  0.2502  0.0014  0.0011 [8 per cell]
I  0.1108  0.0676  0.6696 [8 per cell]
I  0.1106  0.4318  0.6675 [8 per cell]
I  0.1986  0.2502  0.2203 [8 per cell]



Computed powder X-ray diffraction pattern
Compound: Rb2La3I8
Radiation: Cu Ka
Structure: a structure optimized by DFT (GGA-PBE)

Top 8 peaks for 10° ≤ 2θ ≤ 90°, most intense first:
- 26.30°, intensity 1000, hkl 1 -2 2
- 26.61°, intensity 939, hkl 1 2 0
- 26.87°, intensity 866, hkl 2 0 -2
- 34.44°, intensity 367, hkl -1 2 2
- 34.79°, intensity 346, hkl 1 2 -4
- 35.96°, intensity 341, hkl 2 0 2
- 39.51°, intensity 315, hkl 0 4 -2
- 40.91°, intensity 294, hkl 3 -2 0

Cell and atoms:
abc: 7.4820 9.1257 10.5475
angles: 115.17 104.44 91.14
Space group P-1 (No. 2)
Unique sites:
Rb  0.0378  0.2465  0.4869 [2 per cell]
La  0.0104  0.2807  0.9996 [2 per cell]
La  0.5000  0.5000  0.0000 [1 per cell]
I  0.2347  0.0924  0.1849 [2 per cell]
I  0.2628  0.6289  0.2463 [2 per cell]
I  0.2639  0.6457  0.7876 [2 per cell]
I  0.2650  0.1390  0.7770 [2 per cell]



Computed powder X-ray diffraction pattern
Compound: Rb2LaScI6
Radiation: Cu Ka
Structure: a structure optimized by DFT (GGA-PBE)

Top 8 peaks for 10° ≤ 2θ ≤ 90°, most intense first:
- 29.26°, intensity 1000, hkl 4 0 0
- 25.27°, intensity 875, hkl 2 2 2
- 41.86°, intensity 735, hkl 4 4 0
- 49.52°, intensity 396, hkl 6 2 2
- 68.77°, intensity 320, hkl 8 4 0
- 14.51°, intensity 307, hkl 2 0 0
- 51.89°, intensity 256, hkl 4 4 4
- 76.44°, intensity 236, hkl 8 4 4

Cell and atoms:
abc: 12.2091 12.2091 12.2091
angles: 90.00 90.00 90.00
Space group Fm-3m (No. 225)
Unique sites:
Rb  0.2500  0.2500  0.2500 [8 per cell]
La  0.0000  0.0000  0.0000 [4 per cell]
Sc  0.0000  0.0000  0.5000 [4 per cell]
I  0.0000  0.0000  0.2588 [24 per cell]



Computed powder X-ray diffraction pattern
Compound: LaTbRhI
Radiation: Cu Ka
Structure: a structure optimized by DFT (GGA-PBE)

Top 8 peaks for 10° ≤ 2θ ≤ 90°, most intense first:
- 30.89°, intensity 1000, hkl 0 1 5
- 43.71°, intensity 451, hkl 1 1 0
- 28.84°, intensity 270, hkl 1 0 4
- 44.80°, intensity 217, hkl 1 0 10
- 54.48°, intensity 200, hkl 2 0 5
- 10.83°, intensity 182, hkl 0 0 3
- 25.88°, intensity 179, hkl 0 1 2
- 72.31°, intensity 170, hkl 1 2 5

Cell and atoms:
abc: 4.1418 4.1418 24.5024
angles: 90.00 90.00 120.00
Space group R3m (No. 160, hexagonal axes)
Unique sites:
La  0.0000  0.0000  0.0000 [3 per cell]
Tb  0.0000  0.0000  0.7891 [3 per cell]
Rh  0.0000  0.0000  0.3965 [3 per cell]
I  0.0000  0.0000  0.2230 [3 per cell]



Computed powder X-ray diffraction pattern
Compound: La8Ru3SeI4
Radiation: Cu Ka
Structure: a structure optimized by DFT (GGA-PBE)

Top 8 peaks for 10° ≤ 2θ ≤ 90°, most intense first:
- 28.05°, intensity 1000, hkl 0 2 4
- 41.99°, intensity 377, hkl 2 2 0
- 38.09°, intensity 267, hkl 2 0 8
- 51.26°, intensity 178, hkl 4 0 4
- 30.16°, intensity 149, hkl 2 0 5
- 68.34°, intensity 143, hkl 2 4 4
- 54.41°, intensity 110, hkl 2 2 9
- 35.22°, intensity 92, hkl 0 2 7

Cell and atoms:
abc: 8.6063 8.6063 24.4396
angles: 90.00 90.00 120.00
Space group R-3m (No. 166, hexagonal axes)
Unique sites:
La  0.0000  0.0000  0.2311 [6 per cell]
La  0.0220  0.5110  0.7717 [18 per cell]
Ru  0.0000  0.5000  0.5000 [9 per cell]
Se  0.0000  0.0000  0.5000 [3 per cell]
I  0.0000  0.0000  0.0000 [3 per cell]
I  0.0000  0.5000  0.0000 [9 per cell]